Starting from a cell relaxed with PBE, the X-ray powder pattern of Nd3Dy8Tm2 was computed for copper Kα.
Neutral-atom scattering factors, no anomalous dispersion.

Cell and atoms:
a = 11.7673 Å, b = 11.7673 Å, c = 6.7590 Å
α = 101.99°, β = 101.99°, γ = 27.35°
Fractional positions:
Nd (0.0000, 0.0000, 0.0000)
Nd (0.4884, 0.4884, 0.7107)
Nd (0.5116, 0.5116, 0.2893)
Dy (0.0775, 0.0775, 0.5951)
Dy (0.1783, 0.1783, 0.2649)
Dy (0.3310, 0.3310, 0.4701)
Dy (0.3776, 0.3776, 0.0111)
Dy (0.6224, 0.6224, 0.9889)
Dy (0.6690, 0.6690, 0.5299)
Dy (0.8217, 0.8217, 0.7351)
Dy (0.9225, 0.9225, 0.4049)
Tm (0.2308, 0.2308, 0.8156)
Tm (0.7692, 0.7692, 0.1844)

Largest 6 diffraction maxima, sorted by position, 2θ from 10° to 80°:
Position (°2θ)  intensity
31.0  77.6
31.6  100.0
32.0  30.7
32.2  55.2
32.3  25.4
46.0  22.6

---

Starting from a cell relaxed with PBE, the X-ray powder pattern of Nd5DyTm3 was computed for copper Kα.
Neutral-atom scattering factors, no anomalous dispersion.

Cell and atoms:
a = 8.9235 Å, b = 8.9235 Å, c = 11.6108 Å
α = 109.04°, β = 109.04°, γ = 44.39°
Fractional positions:
Nd (0.1073, 0.1162, 0.5531)
Nd (0.1162, 0.1073, 0.0531)
Nd (0.1911, 0.8089, 0.7500)
Nd (0.2492, 0.4104, 0.6599)
Nd (0.4104, 0.2492, 0.1599)
Nd (0.5896, 0.7508, 0.8401)
Nd (0.7508, 0.5896, 0.3401)
Nd (0.8089, 0.1911, 0.2500)
Nd (0.8838, 0.8927, 0.9469)
Nd (0.8927, 0.8838, 0.4469)
Dy (0.2567, 0.7433, 0.2500)
Dy (0.7433, 0.2567, 0.7500)
Tm (0.1456, 0.3318, 0.8752)
Tm (0.3318, 0.1456, 0.3752)
Tm (0.5000, 0.5000, 0.0000)
Tm (0.5000, 0.5000, 0.5000)
Tm (0.6682, 0.8544, 0.6248)
Tm (0.8544, 0.6682, 0.1248)

Largest 6 diffraction maxima, sorted by position, 2θ from 10° to 80°:
Position (°2θ)  intensity
30.8  100.0
31.2  38.6
32.8  16.8
35.4  15.2
38.3  8.4
54.8  12.0

---

Starting from a cell relaxed with PBE, the X-ray powder pattern of Nd7DyTm2 was computed for copper Kα.
Neutral-atom scattering factors, no anomalous dispersion.

Cell and atoms:
a = 9.3028 Å, b = 9.3028 Å, c = 5.6939 Å
α = 90.00°, β = 90.00°, γ = 122.78°
Fractional positions:
Nd (0.0000, 0.0000, 0.0000)
Nd (0.2065, 0.4348, 0.0000)
Nd (0.2777, 0.7223, 0.5000)
Nd (0.4348, 0.2065, 0.0000)
Nd (0.5652, 0.7935, 0.0000)
Nd (0.7223, 0.2777, 0.5000)
Nd (0.7935, 0.5652, 0.0000)
Dy (0.5000, 0.5000, 0.5000)
Tm (0.2050, 0.7950, 0.0000)
Tm (0.7950, 0.2050, 0.0000)

Largest 6 diffraction maxima, sorted by position, 2θ from 10° to 80°:
Position (°2θ)  intensity
15.6  49.9
29.7  59.8
31.4  56.1
33.2  100.0
34.5  58.5
43.8  41.5

---

Starting from a cell relaxed with PBE, the X-ray powder pattern of Nd3Dy2Tm8 was computed for copper Kα.
Neutral-atom scattering factors, no anomalous dispersion.

Cell and atoms:
a = 6.1327 Å, b = 6.1384 Å, c = 11.1845 Å
α = 89.87°, β = 79.40°, γ = 80.36°
Fractional positions:
Nd (0.0000, 0.0000, 0.0000)
Nd (0.2309, 0.4618, 0.0791)
Nd (0.7691, 0.5382, 0.9209)
Dy (0.3845, 0.7693, 0.4624)
Dy (0.6155, 0.2307, 0.5376)
Tm (0.0767, 0.1523, 0.6889)
Tm (0.1539, 0.3076, 0.3867)
Tm (0.3080, 0.6128, 0.7650)
Tm (0.4630, 0.9249, 0.1579)
Tm (0.5370, 0.0751, 0.8421)
Tm (0.6920, 0.3872, 0.2350)
Tm (0.8461, 0.6924, 0.6133)
Tm (0.9233, 0.8477, 0.3111)

Largest 6 diffraction maxima, sorted by position, 2θ from 10° to 80°:
Position (°2θ)  intensity
30.9  33.6
31.0  100.0
35.9  67.5
51.6  32.0
61.4  19.0
61.4  33.2

---

Starting from a cell relaxed with PBE, the X-ray powder pattern of Nd4Dy6Tm was computed for copper Kα.
Neutral-atom scattering factors, no anomalous dispersion.

Cell and atoms:
a = 11.0265 Å, b = 11.0265 Å, c = 3.5658 Å
α = 90.00°, β = 90.00°, γ = 120.00°
Fractional positions:
Nd (0.0000, 0.0000, 0.0000)
Nd (0.5036, 0.0072, 0.5000)
Nd (0.5036, 0.4964, 0.5000)
Nd (0.9928, 0.4964, 0.5000)
Dy (0.1783, 0.3566, 0.0000)
Dy (0.1783, 0.8217, 0.0000)
Dy (0.3077, 0.1538, 0.5000)
Dy (0.6434, 0.8217, 0.0000)
Dy (0.8462, 0.1538, 0.5000)
Dy (0.8462, 0.6923, 0.5000)
Tm (0.6667, 0.3333, 0.0000)

Largest 6 diffraction maxima, sorted by position, 2θ from 10° to 80°:
Position (°2θ)  intensity
29.8  19.3
31.3  86.9
32.5  100.0
45.7  27.4
57.2  25.8
62.0  31.4

---

Starting from a cell relaxed with PBE, the X-ray powder pattern of NdDy6Tm6 was computed for copper Kα.
Neutral-atom scattering factors, no anomalous dispersion.

Cell and atoms:
a = 6.6063 Å, b = 6.6063 Å, c = 11.3263 Å
α = 90.00°, β = 90.00°, γ = 120.00°
Fractional positions:
Nd (0.0000, 0.0000, 0.0000)
Dy (0.0000, 0.0000, 0.3476)
Dy (0.0000, 0.0000, 0.6524)
Dy (0.3333, 0.6667, 0.0000)
Dy (0.3333, 0.6667, 0.5000)
Dy (0.6667, 0.3333, 0.0000)
Dy (0.6667, 0.3333, 0.5000)
Tm (0.0000, 0.5000, 0.2443)
Tm (0.0000, 0.5000, 0.7557)
Tm (0.5000, 0.0000, 0.2443)
Tm (0.5000, 0.0000, 0.7557)
Tm (0.5000, 0.5000, 0.2443)
Tm (0.5000, 0.5000, 0.7557)

Largest 6 diffraction maxima, sorted by position, 2θ from 10° to 80°:
Position (°2θ)  intensity
27.0  25.7
31.3  100.0
31.6  22.7
35.1  72.5
35.4  24.5
55.7  26.3

---

Starting from a cell relaxed with PBE, the X-ray powder pattern of NdDy6Tm3 was computed for copper Kα.
Neutral-atom scattering factors, no anomalous dispersion.

Cell and atoms:
a = 10.9134 Å, b = 10.9134 Å, c = 6.1714 Å
α = 90.00°, β = 90.00°, γ = 119.75°
Fractional positions:
Nd (0.2071, 0.7929, 0.5000)
Nd (0.7929, 0.2071, 0.0000)
Dy (0.0387, 0.4583, 0.2930)
Dy (0.0470, 0.9530, 0.7430)
Dy (0.2860, 0.7140, 0.0135)
Dy (0.2897, 0.3806, 0.1255)
Dy (0.3806, 0.2897, 0.6255)
Dy (0.4583, 0.0387, 0.7930)
Dy (0.5417, 0.9613, 0.2930)
Dy (0.6194, 0.7103, 0.1255)
Dy (0.7103, 0.6194, 0.6255)
Dy (0.7140, 0.2860, 0.5135)
Dy (0.9530, 0.0470, 0.2430)
Dy (0.9613, 0.5417, 0.7930)
Tm (0.0652, 0.2826, 0.7008)
Tm (0.2826, 0.0652, 0.2008)
Tm (0.3894, 0.6106, 0.5805)
Tm (0.6106, 0.3894, 0.0805)
Tm (0.7174, 0.9348, 0.7008)
Tm (0.9348, 0.7174, 0.2008)

Largest 6 diffraction maxima, sorted by position, 2θ from 10° to 80°:
Position (°2θ)  intensity
28.3  15.1
28.8  48.7
30.5  21.8
31.9  100.0
34.1  17.9
34.7  27.3

---

Starting from a cell relaxed with PBE, the X-ray powder pattern of Nd2Dy3Tm was computed for copper Kα.
Neutral-atom scattering factors, no anomalous dispersion.

Cell and atoms:
a = 10.1005 Å, b = 10.1005 Å, c = 8.1798 Å
α = 91.26°, β = 91.26°, γ = 29.24°
Fractional positions:
Nd (0.1028, 0.1028, 0.4339)
Nd (0.3527, 0.3527, 0.2631)
Nd (0.6473, 0.6473, 0.7369)
Nd (0.8972, 0.8972, 0.5661)
Dy (0.1916, 0.1916, 0.0524)
Dy (0.2662, 0.2662, 0.6491)
Dy (0.4269, 0.4269, 0.8710)
Dy (0.5731, 0.5731, 0.1290)
Dy (0.7338, 0.7338, 0.3509)
Dy (0.8084, 0.8084, 0.9476)
Tm (0.0441, 0.0441, 0.8433)
Tm (0.9559, 0.9559, 0.1567)

Largest 6 diffraction maxima, sorted by position, 2θ from 10° to 80°:
Position (°2θ)  intensity
31.0  100.0
34.4  18.0
35.2  18.9
38.2  14.5
50.0  12.5
60.6  15.1

---

Starting from a cell relaxed with PBE, the X-ray powder pattern of Nd5DyTm2 was computed for copper Kα.
Neutral-atom scattering factors, no anomalous dispersion.

Cell and atoms:
a = 9.0937 Å, b = 9.0937 Å, c = 9.0937 Å
α = 118.88°, β = 118.88°, γ = 91.95°
Fractional positions:
Nd (0.0000, 0.0000, 0.0000)
Nd (0.0137, 0.5137, 0.2004)
Nd (0.1867, 0.9863, 0.5000)
Nd (0.3133, 0.8133, 0.7996)
Nd (0.4863, 0.6867, 0.5000)
Nd (0.5000, 0.5000, 0.0000)
Nd (0.5137, 0.3133, 0.5000)
Nd (0.6867, 0.1867, 0.2004)
Nd (0.8133, 0.0137, 0.5000)
Nd (0.9863, 0.4863, 0.7996)
Dy (0.2500, 0.2500, 0.0000)
Dy (0.7500, 0.7500, 0.0000)
Tm (0.1460, 0.3540, 0.5000)
Tm (0.3540, 0.8540, 0.2080)
Tm (0.6460, 0.1460, 0.7920)
Tm (0.8540, 0.6460, 0.5000)

Largest 6 diffraction maxima, sorted by position, 2θ from 10° to 80°:
Position (°2θ)  intensity
30.3  100.0
30.6  66.2
43.8  10.2
45.8  10.8
53.6  10.0
58.0  24.6

---

Starting from a cell relaxed with PBE, the X-ray powder pattern of Nd6Dy6Tm was computed for copper Kα.
Neutral-atom scattering factors, no anomalous dispersion.

Cell and atoms:
a = 6.7432 Å, b = 6.7432 Å, c = 11.3993 Å
α = 90.00°, β = 90.00°, γ = 120.00°
Fractional positions:
Nd (0.0000, 0.0000, 0.1569)
Nd (0.0000, 0.0000, 0.8431)
Nd (0.3333, 0.6667, 0.0000)
Nd (0.3333, 0.6667, 0.5000)
Nd (0.6667, 0.3333, 0.0000)
Nd (0.6667, 0.3333, 0.5000)
Dy (0.0000, 0.5000, 0.2533)
Dy (0.0000, 0.5000, 0.7467)
Dy (0.5000, 0.0000, 0.2533)
Dy (0.5000, 0.0000, 0.7467)
Dy (0.5000, 0.5000, 0.2533)
Dy (0.5000, 0.5000, 0.7467)
Tm (0.0000, 0.0000, 0.5000)

Largest 6 diffraction maxima, sorted by position, 2θ from 10° to 80°:
Position (°2θ)  intensity
26.4  36.0
30.6  61.3
30.8  86.1
31.4  34.0
34.5  100.0
54.4  38.2

---

Starting from a cell relaxed with PBE, the X-ray powder pattern of Nd4Dy8Tm was computed for copper Kα.
Neutral-atom scattering factors, no anomalous dispersion.

Cell and atoms:
a = 7.8017 Å, b = 7.8017 Å, c = 7.8017 Å
α = 90.11°, β = 90.11°, γ = 90.11°
Fractional positions:
Nd (0.0000, 0.0000, 0.0000)
Nd (0.0000, 0.5000, 0.5000)
Nd (0.5000, 0.0000, 0.5000)
Nd (0.5000, 0.5000, 0.0000)
Dy (0.2402, 0.2402, 0.2402)
Dy (0.2398, 0.2398, 0.7588)
Dy (0.2398, 0.7588, 0.2398)
Dy (0.2412, 0.7602, 0.7602)
Dy (0.7588, 0.2398, 0.2398)
Dy (0.7602, 0.2412, 0.7602)
Dy (0.7602, 0.7602, 0.2412)
Dy (0.7598, 0.7598, 0.7598)
Tm (0.5000, 0.5000, 0.5000)

Largest 6 diffraction maxima, sorted by position, 2θ from 10° to 80°:
Position (°2θ)  intensity
19.7  9.7
22.8  8.3
32.5  100.0
46.6  18.1
57.9  27.9
58.0  9.2

---

Starting from a cell relaxed with PBE, the X-ray powder pattern of Nd8Dy5Tm was computed for copper Kα.
Neutral-atom scattering factors, no anomalous dispersion.

Cell and atoms:
a = 8.5936 Å, b = 8.5958 Å, c = 8.6619 Å
α = 116.13°, β = 114.30°, γ = 98.12°
Fractional positions:
Nd (0.0000, 0.0000, 0.0000)
Nd (0.0562, 0.2689, 0.4896)
Nd (0.3166, 0.0011, 0.4298)
Nd (0.4466, 0.4512, 0.0094)
Nd (0.5074, 0.6156, 0.6734)
Nd (0.6541, 0.1307, 0.9496)
Nd (0.8169, 0.3974, 0.7656)
Nd (0.8753, 0.5647, 0.4396)
Dy (0.1617, 0.5060, 0.2193)
Dy (0.2684, 0.7432, 0.9549)
Dy (0.4779, 0.2224, 0.2570)
Dy (0.6629, 0.8775, 0.4838)
Dy (0.8404, 0.7850, 0.1820)
Tm (0.1597, 0.0058, 0.7199)

Largest 6 diffraction maxima, sorted by position, 2θ from 10° to 80°:
Position (°2θ)  intensity
29.7  45.4
31.0  37.0
31.5  100.0
31.8  37.9
32.4  61.0
34.4  39.1